# 1
Diffraction record for NpH3O6. The XRD peak list is simulated, not measured: it uses a DFT-relaxed cell (GGA-PBE, Alexandria) and copper Kα.
Peak positions follow from Bragg's law for the DFT cell and can differ from measured ones.

Top 6 peaks for 2θ = 10–80°, by intensity:
2theta  Rel. int.  h k l
15.57  100  1 0 0
15.81  91  0 1 -1
22.85  54  0 1 1
23.21  45  1 1 -1
21.28  38  1 -1 1
23.53  36  0 0 2

Cell and atoms:
a b c (Å): 5.7455 6.1012 8.1218
angles (deg): 111.08 91.07 96.90
Space group P-1 (No. 2)
One atom of each set of equivalent atoms:
Np: 0.0000 0.0000 0.0000
Np: 0.0000 0.5000 0.5000
H: 0.2160 0.2748 0.0258
H: 0.2372 0.9797 0.7051
H: 0.4774 0.2924 0.6249
O: 0.1301 0.8634 0.7401
O: 0.1439 0.3098 0.6425
O: 0.1824 0.7555 0.0710
O: 0.2688 0.5215 0.3899
O: 0.3288 0.9692 0.1193
O: 0.3335 0.1718 0.5945

***

# 2
Diffraction record for NpH2O4. The XRD peak list is simulated, not measured: it uses a DFT-relaxed cell (GGA-PBE, Alexandria) and copper Kα.
Peak positions follow from Bragg's law for the DFT cell and can differ from measured ones.

Top 6 peaks for 2θ = 10–80°, by intensity:
2theta  Rel. int.  h k l
17.35  100  1 1 0
23.77  98  0 2 1
19.34  75  1 1 -1
32.69  52  2 2 -1
28.84  31  1 3 0
29.04  26  1 1 1

Cell and atoms:
a b c (Å): 6.3905 11.0071 5.6551
angles (deg): 90.00 115.45 90.00
Space group Cc (No. 9)
One atom of each set of equivalent atoms:
Np: 0.0000 0.1269 0.0000
H: 0.1039 0.4774 0.4584
H: 0.3874 0.2474 0.0169
O: 0.1128 0.0378 0.7963
O: 0.1850 0.4693 0.3454
O: 0.3365 0.2355 0.1584
O: 0.4084 0.2870 0.7127

***

# 3
Diffraction record for NpH2Pb2O6. The XRD peak list is simulated, not measured: it uses a DFT-relaxed cell (GGA-PBE, Alexandria) and copper Kα.
Peak positions follow from Bragg's law for the DFT cell and can differ from measured ones.

Top 6 peaks for 2θ = 10–80°, by intensity:
2theta  Rel. int.  h k l
33.23  100  1 1 0
29.15  96  1 0 4
33.62  82  0 1 5
19.78  80  1 0 1
44.78  48  0 2 4
61.89  39  1 1 9

Cell and atoms:
a b c (Å): 5.3926 5.3926 16.2343
angles (deg): 90.00 90.00 120.00
Space group R-3m (No. 166, hexagonal axes)
One atom of each set of equivalent atoms:
Np: 0.0000 0.0000 0.0000
H: 0.0000 0.0000 0.4127
Pb: 0.0000 0.0000 0.2222
O: 0.0214 0.5107 0.2561

***

# 4
Diffraction record for RbNpH2O6. The XRD peak list is simulated, not measured: it uses a DFT-relaxed cell (GGA-PBE, Alexandria) and copper Kα.
Peak positions follow from Bragg's law for the DFT cell and can differ from measured ones.

Top 6 peaks for 2θ = 10–80°, by intensity:
2theta  Rel. int.  h k l
20.64  100  1 0 1
14.06  77  0 0 1
21.21  75  1 1 0
28.38  70  1 1 2
22.48  57  0 1 1
24.44  47  0 1 -1

Cell and atoms:
a b c (Å): 5.2267 5.3494 6.8397
angles (deg): 75.85 67.60 62.83
Space group P1 (No. 1)
One atom of each set of equivalent atoms:
Rb: 0.0000 0.0000 0.0000
Np: 0.5158 0.4943 0.5059
H: 0.2451 0.2139 0.4377
H: 0.8579 0.8068 0.5365
O: 0.0333 0.8760 0.4534
O: 0.2699 0.4041 0.7596
O: 0.4125 0.2795 0.3508
O: 0.6205 0.6957 0.6414
O: 0.7401 0.5835 0.2409
O: 0.9546 0.1171 0.5640

***

# 5
Diffraction record for YNpH2O6. The XRD peak list is simulated, not measured: it uses a DFT-relaxed cell (GGA-PBE, Alexandria) and copper Kα.
Peak positions follow from Bragg's law for the DFT cell and can differ from measured ones.

Top 6 peaks for 2θ = 10–80°, by intensity:
2theta  Rel. int.  h k l
22.71  100  1 0 1
21.12  60  0 1 1
29.22  26  1 0 -1
30.23  22  0 1 -1
30.62  22  1 1 2
17.28  19  0 0 1

Cell and atoms:
a b c (Å): 5.2345 5.4460 5.9451
angles (deg): 62.86 66.67 63.65
Space group P-1 (No. 2)
One atom of each set of equivalent atoms:
Y: 0.0000 0.0000 0.0000
Np: 0.5000 0.5000 0.5000
H: 0.0877 0.2660 0.2650
O: 0.0866 0.7479 0.7466
O: 0.2748 0.5888 0.2680
O: 0.3925 0.1527 0.7203

***

# 6
Diffraction record for Np2P2H. The XRD peak list is simulated, not measured: it uses a DFT-relaxed cell (GGA-PBE, Alexandria) and copper Kα.
Peak positions follow from Bragg's law for the DFT cell and can differ from measured ones.

Top 6 peaks for 2θ = 10–80°, by intensity:
2theta  Rel. int.  h k l
29.96  100  2 1 1
47.75  45  2 3 0
37.48  30  0 2 2
25.45  25  0 0 2
73.51  22  2 3 4
54.91  20  4 0 2

Cell and atoms:
a b c (Å): 7.6039 6.6037 6.9988
angles (deg): 90.00 90.00 90.00
Space group Pbcm (No. 57)
One atom of each set of equivalent atoms:
Np: 0.1213 0.0863 0.2500
Np: 0.3718 0.5789 0.2500
P: 0.1312 0.7500 0.0000
P: 0.3802 0.2500 0.0000
H: 0.1235 0.0842 0.7500